Theoretical powder X-ray diffraction pattern
Compound: NdAlO3
Radiation: λ = 1.5418 Å (Cu Kα)
Structure: the GGA-PBE geometry in the Materials Project

Largest 10 diffraction maxima, by angle, 10 to 90 degrees two-theta:
- 3.774 Å, 23.6 deg, I = 50, (1 0 0)
- 2.669 Å, 33.6 deg, I = 100, (1 1 0)
- 2.179 Å, 41.4 deg, I = 43, (1 1 1)
- 1.887 Å, 48.2 deg, I = 35, (2 0 0)
- 1.688 Å, 54.4 deg, I = 23, (2 1 0)
- 1.541 Å, 60.0 deg, I = 39, (2 1 1)
- 1.334 Å, 70.6 deg, I = 21, (2 2 0)
- 1.258 Å, 75.6 deg, I = 11, (3 0 0)
- 1.194 Å, 80.5 deg, I = 17, (3 1 0)
- 1.138 Å, 85.3 deg, I = 14, (3 1 1)

Atomic structure:
```
NdAlO3
1.0
3.774 0.000 0.000
0.000 3.774 0.000
0.000 0.000 3.774
Nd Al O
1 1 3
Direct
0.000 0.000 0.000
0.500 0.500 0.500
0.000 0.500 0.500
0.500 0.000 0.500
0.500 0.500 0.000
```